Diffraction record for Sc2AgTe5. The X-ray powder pattern is computed, not measured: it uses a crystal structure in Alexandria, relaxed with GGA-PBE and Cu Ka.
Neutral-atom scattering factors, no anomalous dispersion.

Peak list (8 most intense, 2θ from 5° to 70°, sorted by position)
- 2θ 16.42, intensity 47.3
- 2θ 23.58, intensity 64.5
- 2θ 24.96, intensity 40.7
- 2θ 30.87, intensity 100.0
- 2θ 31.72, intensity 62.4
- 2θ 32.59, intensity 55.2
- 2θ 44.85, intensity 47.1
- 2θ 45.51, intensity 42.7

Structure:
Cell lengths 5.793, 14.914, 12.190 Å; angles 90.00, 90.00, 90.00 degrees
Space group Cmcm (No. 63)
Inequivalent atoms, fractional coordinates:
Sc (0.000, 0.164, 0.043) x8
Ag (0.000, 0.217, 0.750) x4
Te (0.000, 0.024, 0.624) x8
Te (0.000, 0.258, 0.250) x4
Te (0.000, 0.334, 0.564) x8

---

Diffraction record for YThScAg. The X-ray powder pattern is computed, not measured: it uses a crystal structure in Alexandria, relaxed with GGA-PBE and Cu Ka.
Neutral-atom scattering factors, no anomalous dispersion.

Peak list (8 most intense, 2θ from 5° to 70°, sorted by position)
- 2θ 21.86, intensity 14.8
- 2θ 24.92, intensity 20.0
- 2θ 27.26, intensity 20.9
- 2θ 33.39, intensity 100.0
- 2θ 35.54, intensity 46.0
- 2θ 51.13, intensity 16.1
- 2θ 58.26, intensity 15.2
- 2θ 62.45, intensity 32.1

Structure:
Cell lengths 3.573, 3.573, 8.132 Å; angles 90.00, 90.00, 90.00 degrees
Space group P4mm (No. 99)
Inequivalent atoms, fractional coordinates:
Y (0.000, 0.000, 0.000) x1
Th (0.500, 0.500, 0.299) x1
Sc (0.000, 0.000, 0.571) x1
Ag (0.500, 0.500, 0.765) x1

---

Diffraction record for YSc3Ag2. The X-ray powder pattern is computed, not measured: it uses a crystal structure in Alexandria, relaxed with GGA-PBE and Cu Ka.
Neutral-atom scattering factors, no anomalous dispersion.

Peak list (8 most intense, 2θ from 5° to 70°, sorted by position)
- 2θ 13.28, intensity 47.8
- 2θ 26.84, intensity 25.0
- 2θ 32.40, intensity 27.1
- 2θ 32.96, intensity 39.5
- 2θ 35.22, intensity 100.0
- 2θ 35.70, intensity 59.7
- 2θ 37.13, intensity 56.4
- 2θ 42.10, intensity 22.9

Structure:
Cell lengths 14.858, 5.030, 8.352 Å; angles 90.00, 116.74, 90.00 degrees
Space group C2/m (No. 12)
Inequivalent atoms, fractional coordinates:
Y (0.136, 0.000, 0.187) x4
Sc (0.064, 0.000, 0.721) x4
Sc (0.115, 0.500, 0.538) x4
Sc (0.194, 0.500, 0.992) x4
Ag (0.011, 0.500, 0.172) x4
Ag (0.233, 0.000, 0.608) x4

---

Diffraction record for Y3ScAg4. The X-ray powder pattern is computed, not measured: it uses a crystal structure in Alexandria, relaxed with GGA-PBE and Cu Ka.
Neutral-atom scattering factors, no anomalous dispersion.

Peak list (8 most intense, 2θ from 5° to 70°, sorted by position)
- 2θ 24.77, intensity 3.6
- 2θ 27.76, intensity 1.4
- 2θ 31.11, intensity 3.1
- 2θ 35.32, intensity 100.0
- 2θ 50.81, intensity 16.5
- 2θ 57.71, intensity 2.1
- 2θ 63.40, intensity 31.5
- 2θ 69.51, intensity 1.3

Structure:
Cell lengths 3.593, 3.593, 14.378 Å; angles 90.00, 90.00, 90.00 degrees
Space group P4/mmm (No. 123)
Inequivalent atoms, fractional coordinates:
Y (0.000, 0.000, 0.000) x1
Y (0.000, 0.000, 0.258) x2
Sc (0.000, 0.000, 0.500) x1
Ag (0.500, 0.500, 0.128) x2
Ag (0.500, 0.500, 0.390) x2